[1]
Simulated powder X-ray diffraction pattern of Ce7In2 for Cu Ka, from a DFT-relaxed cell (GGA-PBE, Alexandria).

```
9
Lattice="5.395 0.000 0.000 -2.697 4.672 0.000 0.000 0.000 9.589" Properties=species:S:1:pos:R:3 pbc="T T T"
Ce 0.000 0.000 0.000
Ce 0.000 0.000 3.490
Ce 0.000 0.000 6.099
Ce 0.000 3.115 1.134
Ce 0.000 3.115 3.937
Ce 2.697 1.557 5.651
Ce 2.697 1.557 8.454
In 0.000 3.115 7.368
In 2.697 1.557 2.221
```

Top 8 peaks for 15° ≤ 2θ ≤ 90°, sorted by position:
2θ/deg  d_spacing  intensity
33.21  2.697  100
33.98  2.638  79
48.25  1.886  29
59.34  1.557  19
59.84  1.546  31
61.31  1.512  8
69.72  1.349  11
79.88  1.201  13

[2]
Simulated powder X-ray diffraction pattern of Ce8In3 for Cu Ka, from a DFT-relaxed cell (GGA-PBE, Alexandria).

```
11
Lattice="-1.562 2.605 17.290 1.562 -2.605 17.290 1.562 2.605 -17.290" Properties=species:S:1:pos:R:3 pbc="T T T"
Ce 0.000 0.000 1.636
Ce 0.000 0.000 7.746
Ce 1.562 0.000 10.953
Ce 1.562 0.000 14.227
Ce 0.000 2.605 3.064
Ce 0.000 2.605 6.337
Ce 0.000 0.000 26.835
Ce 0.000 0.000 32.945
In 1.562 0.000 4.673
In 0.000 0.000 17.290
In 0.000 2.605 12.617
```

Top 8 peaks for 15° ≤ 2θ ≤ 90°, sorted by position:
2θ/deg  d_spacing  intensity
33.29  2.692  100
33.95  2.640  47
34.42  2.605  47
35.07  2.559  62
49.13  1.854  39
59.18  1.561  31
60.94  1.520  17
69.61  1.351  23

[3]
Simulated powder X-ray diffraction pattern of Ce5In for Cu Ka, from a DFT-relaxed cell (GGA-PBE, Alexandria).

```
6
Lattice="4.511 -2.609 0.000 4.511 2.609 0.000 -0.007 0.000 6.725" Properties=species:S:1:pos:R:3 pbc="T T T"
Ce 0.000 0.000 0.000
Ce 3.008 0.000 1.821
Ce 3.008 0.000 4.905
Ce 6.006 0.000 1.820
Ce 6.007 0.000 4.905
In -0.004 0.000 3.363
```

Top 8 peaks for 15° ≤ 2θ ≤ 90°, sorted by position:
2θ/deg  d_spacing  intensity
33.22  2.697  92
34.40  2.607  100
43.95  2.060  12
48.57  1.874  31
60.86  1.522  27
61.63  1.505  18
66.13  1.413  24
86.84  1.122  10